Computed powder X-ray diffraction pattern
Compound: Rb3Er3TcO8
Radiation: λ = 1.5418 Å (Cu Kα)
Structure: a structure optimized by DFT (PBE)
Peak positions follow from Bragg's law for the DFT cell and can differ from measured ones.

Principal peaks in the range 10 to 90 degrees two-theta, in order of rising 2θ:
- 13.4°, I 65
- 27.1°, I 47
- 31.9°, I 79
- 35.7°, I 100
- 48.2°, I 35
- 54.4°, I 30
- 56.2°, I 32
- 61.8°, I 29

Structure:
Cell lengths 7.656, 7.656, 7.656 Å; angles 52.32, 52.32, 52.32 degrees
Fractional coordinates of all 15 atoms:
Rb  0.000  0.500  0.500
Rb  0.500  0.000  0.500
Rb  0.500  0.500  0.000
Er  0.000  0.000  0.500
Er  0.000  0.500  0.000
Er  0.500  0.000  0.000
Tc  0.500  0.500  0.500
O  0.223  0.223  0.223
O  0.245  0.709  0.709
O  0.291  0.291  0.755
O  0.291  0.755  0.291
O  0.709  0.245  0.709
O  0.709  0.709  0.245
O  0.755  0.291  0.291
O  0.777  0.777  0.777

Computed powder X-ray diffraction pattern
Compound: RbErTe2O8
Radiation: λ = 1.5418 Å (Cu Kα)
Structure: a structure optimized by DFT (PBE)
Peak positions follow from Bragg's law for the DFT cell and can differ from measured ones.

Principal peaks in the range 10 to 90 degrees two-theta, in order of rising 2θ:
- 17.5°, I 16
- 20.5°, I 100
- 27.6°, I 88
- 30.5°, I 65
- 41.6°, I 33
- 48.7°, I 18
- 52.5°, I 30
- 53.7°, I 29

Structure:
Cell lengths 5.856, 5.856, 8.400 Å; angles 90.00, 90.00, 120.00 degrees
Fractional coordinates of all 12 atoms:
Rb  0.000  0.000  0.000
Er  0.000  0.000  0.500
Te  0.333  0.667  0.738
Te  0.667  0.333  0.262
O  0.095  0.335  0.663
O  0.240  0.905  0.663
O  0.333  0.667  0.955
O  0.335  0.240  0.337
O  0.665  0.760  0.663
O  0.667  0.333  0.045
O  0.760  0.095  0.337
O  0.905  0.665  0.337